# 1
This entry pairs a crystal structure of MgHg3 with its simulated powder diffraction line list. Radiation: copper Kα. Structure: a crystal structure in the Materials Project, relaxed with PBE.
No peak broadening, texture or thermal motion is included.

Atomic structure:
Cell lengths 5.0815, 5.0815, 9.0667 Å; angles 90.00, 90.00, 120.00 degrees
Sites, in units of the cell vectors:
Mg 0.3333 0.6667 0.2500
Mg 0.6667 0.3333 0.7500
Hg 0.0000 0.0000 0.2500
Hg 0.0000 0.0000 0.7500
Hg 0.3333 0.6667 0.5740
Hg 0.3333 0.6667 0.9260
Hg 0.6667 0.3333 0.0740
Hg 0.6667 0.3333 0.4260

Largest 8 diffraction maxima, by intensity, 10° ≤ 2θ ≤ 80°:
2θ/deg  I (rel.)
35.33  100
28.26  85
36.05  64
22.46  27
63.88  25
51.37  24
45.84  24
72.82  23



# 2
This entry pairs a crystal structure of RbOs2O6 with its simulated powder diffraction line list. Radiation: copper Kα. Structure: a crystal structure in the Materials Project, relaxed with PBE.
No peak broadening, texture or thermal motion is included.

Atomic structure:
Cell lengths 7.2430, 7.2430, 7.2430 Å; angles 60.00, 60.00, 60.00 degrees
Sites, in units of the cell vectors:
Rb 0.1250 0.1250 0.1250
Rb 0.8750 0.8750 0.8750
Os 0.0000 0.5000 0.5000
Os 0.5000 0.0000 0.5000
Os 0.5000 0.5000 0.0000
Os 0.5000 0.5000 0.5000
O 0.1850 0.1850 0.5650
O 0.1850 0.5650 0.1850
O 0.1850 0.5650 0.5650
O 0.4350 0.4350 0.8150
O 0.4350 0.8150 0.4350
O 0.4350 0.8150 0.8150
O 0.5650 0.1850 0.1850
O 0.5650 0.1850 0.5650
O 0.5650 0.5650 0.1850
O 0.8150 0.4350 0.4350
O 0.8150 0.4350 0.8150
O 0.8150 0.8150 0.4350

Largest 8 diffraction maxima, by intensity, 10° ≤ 2θ ≤ 80°:
2θ/deg  I (rel.)
28.91  100
30.23  65
14.98  58
50.40  41
46.04  34
59.90  29
70.63  24
59.15  15



# 3
This entry pairs a crystal structure of Tm2RuPt with its simulated powder diffraction line list. Radiation: copper Kα. Structure: a crystal structure in the Materials Project, relaxed with PBE.
No peak broadening, texture or thermal motion is included.

Atomic structure:
Cell lengths 6.8014, 6.8014, 6.8014 Å; angles 90.00, 90.00, 90.00 degrees
Sites, in units of the cell vectors:
Tm 0.2500 0.2500 0.2500
Tm 0.2500 0.2500 0.7500
Tm 0.2500 0.7500 0.2500
Tm 0.2500 0.7500 0.7500
Tm 0.7500 0.2500 0.2500
Tm 0.7500 0.2500 0.7500
Tm 0.7500 0.7500 0.2500
Tm 0.7500 0.7500 0.7500
Ru 0.0000 0.0000 0.0000
Ru 0.0000 0.5000 0.5000
Ru 0.5000 0.0000 0.5000
Ru 0.5000 0.5000 0.0000
Pt 0.0000 0.0000 0.5000
Pt 0.0000 0.5000 0.0000
Pt 0.5000 0.0000 0.0000
Pt 0.5000 0.5000 0.5000

Largest 8 diffraction maxima, by intensity, 10° ≤ 2θ ≤ 80°:
2θ/deg  I (rel.)
37.40  100
67.46  36
53.92  18
79.76  11
22.64  4
44.16  3
59.22  1
72.17  1



# 4
This entry pairs a crystal structure of Ba3Nb2O8 with its simulated powder diffraction line list. Radiation: copper Kα. Structure: a crystal structure in the Materials Project, relaxed with PBE.
No peak broadening, texture or thermal motion is included.

Atomic structure:
Cell lengths 8.0269, 8.0269, 8.0269 Å; angles 45.21, 45.21, 45.21 degrees
Sites, in units of the cell vectors:
Ba 0.0000 0.0000 0.0000
Ba 0.1992 0.1992 0.1992
Ba 0.8008 0.8008 0.8008
Nb 0.4058 0.4058 0.4058
Nb 0.5942 0.5942 0.5942
O 0.2327 0.7320 0.7320
O 0.2680 0.2680 0.7673
O 0.2680 0.7673 0.2680
O 0.3195 0.3195 0.3195
O 0.6805 0.6805 0.6805
O 0.7320 0.2327 0.7320
O 0.7320 0.7320 0.2327
O 0.7673 0.2680 0.2680

Largest 8 diffraction maxima, by intensity, 10° ≤ 2θ ≤ 80°:
2θ/deg  I (rel.)
26.55  100
28.94  96
39.67  44
49.85  36
45.32  29
63.04  21
51.29  19
59.96  17



# 5
This entry pairs a crystal structure of CaAl4Tl4O12 with its simulated powder diffraction line list. Radiation: copper Kα. Structure: a crystal structure in the Materials Project, relaxed with PBE.
No peak broadening, texture or thermal motion is included.

Atomic structure:
Cell lengths 5.6339, 7.3998, 6.5527 Å; angles 90.00, 90.41, 90.00 degrees
Sites, in units of the cell vectors:
Ca 0.0000 0.0000 0.0000
Al 0.3612 0.2522 0.7572
Al 0.3612 0.7478 0.7572
Al 0.6590 0.2655 0.2372
Al 0.6590 0.7345 0.2372
Tl 0.0890 0.5000 0.4112
Tl 0.2519 0.0000 0.3956
Tl 0.7909 0.0000 0.5815
Tl 0.8600 0.5000 0.9032
O 0.0161 0.2406 0.7443
O 0.0161 0.7594 0.7443
O 0.3057 0.5000 0.6894
O 0.3525 0.0000 0.7941
O 0.5229 0.2219 0.5061
O 0.5229 0.7781 0.5061
O 0.5517 0.2931 0.9750
O 0.5517 0.7069 0.9750
O 0.6619 0.5000 0.3108
O 0.6739 0.0000 0.2249
O 0.9926 0.2799 0.1953
O 0.9926 0.7201 0.1953

Largest 8 diffraction maxima, by intensity, 10° ≤ 2θ ≤ 80°:
2θ/deg  I (rel.)
24.03  100
36.67  73
32.01  61
34.01  51
18.08  48
33.80  48
40.20  47
13.51  46



# 6
This entry pairs a crystal structure of Eu2Zr2O7 with its simulated powder diffraction line list. Radiation: copper Kα. Structure: a crystal structure in the Materials Project, relaxed with PBE.
No peak broadening, texture or thermal motion is included.

Atomic structure:
Cell lengths 7.5034, 3.6895, 10.7808 Å; angles 90.00, 90.00, 90.00 degrees
Sites, in units of the cell vectors:
Eu 0.0000 0.0000 0.0000
Eu 0.2500 0.5000 0.2736
Eu 0.5000 0.0000 0.0000
Eu 0.7500 0.5000 0.7264
Zr 0.0000 0.0000 0.5000
Zr 0.2500 0.5000 0.7428
Zr 0.5000 0.0000 0.5000
Zr 0.7500 0.5000 0.2572
O 0.0226 0.5000 0.6153
O 0.0272 0.5000 0.1341
O 0.2500 0.0000 0.3948
O 0.2500 0.0000 0.6354
O 0.2500 0.0000 0.8764
O 0.4728 0.5000 0.1341
O 0.4774 0.5000 0.6153
O 0.5226 0.5000 0.3847
O 0.5272 0.5000 0.8659
O 0.7500 0.0000 0.1236
O 0.7500 0.0000 0.3646
O 0.7500 0.0000 0.6052
O 0.9728 0.5000 0.8659
O 0.9774 0.5000 0.3847

Largest 8 diffraction maxima, by intensity, 10° ≤ 2θ ≤ 80°:
2θ/deg  I (rel.)
29.00  100
29.33  99
48.35  65
34.08  40
57.73  29
58.31  27
33.24  18
48.53  17



# 7
This entry pairs a crystal structure of Ba2DyBiO6 with its simulated powder diffraction line list. Radiation: copper Kα. Structure: a crystal structure in the Materials Project, relaxed with PBE.
No peak broadening, texture or thermal motion is included.

Atomic structure:
Cell lengths 6.1619, 6.1619, 6.1619 Å; angles 60.00, 60.00, 60.00 degrees
Sites, in units of the cell vectors:
Ba 0.2500 0.2500 0.2500
Ba 0.7500 0.7500 0.7500
Dy 0.0000 0.0000 0.0000
Bi 0.5000 0.5000 0.5000
O 0.2556 0.2556 0.7444
O 0.2556 0.7444 0.2556
O 0.2556 0.7444 0.7444
O 0.7444 0.2556 0.2556
O 0.7444 0.2556 0.7444
O 0.7444 0.7444 0.2556

Largest 8 diffraction maxima, by intensity, 10° ≤ 2θ ≤ 80°:
2θ/deg  I (rel.)
28.98  100
51.37  42
41.45  28
68.04  19
60.06  18
20.38  6
75.60  6
46.61  3